1.
Starting from a structure optimized by DFT (GGA-PBE), the powder diffractogram of SmMg11Ir was computed for copper Kα.
Lines closer than 0.1° are merged.

Atomic structure:
```
data_SmMg11Ir
_chemical_formula_sum 'Sm2 Mg22 Ir2'
_space_group_name_H-M_alt 'C 1 2/m 1'
_space_group_IT_number 12
_space_group_name_Hall '-C 2y'
_cell_length_a 5.650
_cell_length_b 14.330
_cell_length_c 7.658
_cell_angle_alpha 90.00
_cell_angle_beta 111.21
_cell_angle_gamma 90.00
loop_
_atom_site_label
_atom_site_type_symbol
_atom_site_fract_x
_atom_site_fract_y
_atom_site_fract_z
Sm1 Sm 0.000 0.000 0.000
Mg1 Mg 0.000 0.000 0.500
Mg2 Mg 0.095 0.399 0.221
Mg3 Mg 0.199 0.165 0.363
Mg4 Mg 0.250 0.250 0.000
Ir1 Ir 0.000 0.500 0.500
```

The 6 most intense peaks (5 to 70 degrees two-theta), by angle:
2theta	d [Å]	intensity	h k l
12.36	7.164	100	0 2 0
18.02	4.923	81	1 1 -1
24.90	3.575	38	0 0 2
25.19	3.536	75	1 1 1
30.81	2.902	42	1 3 1
35.50	2.529	47	0 4 2


2.
Starting from a structure optimized by DFT (GGA-PBE), the powder diffractogram of Sm8Mg2Ir was computed for copper Kα.
Lines closer than 0.1° are merged.

Atomic structure:
```
data_Sm8Mg2Ir
_chemical_formula_sum 'Sm16 Mg4 Ir2'
_space_group_name_H-M_alt 'C 1 2/m 1'
_space_group_IT_number 12
_space_group_name_Hall '-C 2y'
_cell_length_a 17.820
_cell_length_b 5.549
_cell_length_c 7.157
_cell_angle_alpha 90.00
_cell_angle_beta 110.55
_cell_angle_gamma 90.00
loop_
_atom_site_label
_atom_site_type_symbol
_atom_site_fract_x
_atom_site_fract_y
_atom_site_fract_z
Sm1 Sm 0.015 0.000 0.282
Sm2 Sm 0.099 0.500 0.908
Sm3 Sm 0.148 0.500 0.431
Sm4 Sm 0.196 0.000 0.760
Mg1 Mg 0.183 0.000 0.193
Ir1 Ir 0.000 0.500 0.500
```

The 6 most intense peaks (5 to 70 degrees two-theta), by angle:
2theta	d [Å]	intensity	h k l
30.03	2.975	69	5 1 -1
31.28	2.860	52	5 1 0
32.13	2.786	34	2 0 2
32.27	2.774	89	0 2 0
33.24	2.695	100	1 1 2
34.57	2.595	60	5 1 -2


3.
Starting from a structure optimized by DFT (GGA-PBE), the powder diffractogram of SmMgTlIr was computed for copper Kα.
Lines closer than 0.1° are merged.

Atomic structure:
```
data_SmMgTlIr
_chemical_formula_sum 'Sm4 Mg4 Tl4 Ir4'
_space_group_name_H-M_alt 'F -4 3 m'
_space_group_IT_number 216
_space_group_name_Hall 'F -4 2 3'
_cell_length_a 7.045
_cell_length_b 7.045
_cell_length_c 7.045
_cell_angle_alpha 90.00
_cell_angle_beta 90.00
_cell_angle_gamma 90.00
loop_
_atom_site_label
_atom_site_type_symbol
_atom_site_fract_x
_atom_site_fract_y
_atom_site_fract_z
Sm1 Sm 0.000 0.000 0.000
Mg1 Mg 0.000 0.000 0.500
Tl1 Tl 0.250 0.250 0.250
Ir1 Ir 0.250 0.250 0.750
```

The 6 most intense peaks (5 to 70 degrees two-theta), by angle:
2theta	d [Å]	intensity	h k l
21.85	4.068	12	1 1 1
25.28	3.523	17	2 0 0
36.06	2.491	100	2 2 0
51.91	1.761	18	4 0 0
58.60	1.575	7	4 2 0
64.83	1.438	37	4 2 2


4.
Starting from a structure optimized by DFT (GGA-PBE), the powder diffractogram of Mg4SnIr was computed for copper Kα.
Lines closer than 0.1° are merged.

Atomic structure:
```
data_Mg4SnIr
_chemical_formula_sum 'Mg4 Sn1 Ir1'
_space_group_name_H-M_alt 'P 1 2 1'
_space_group_IT_number 3
_space_group_name_Hall 'P 2y'
_cell_length_a 4.529
_cell_length_b 4.527
_cell_length_c 6.840
_cell_angle_alpha 90.00
_cell_angle_beta 90.09
_cell_angle_gamma 90.00
loop_
_atom_site_label
_atom_site_type_symbol
_atom_site_fract_x
_atom_site_fract_y
_atom_site_fract_z
Mg1 Mg 0.000 0.000 0.214
Mg2 Mg 0.499 0.500 0.214
Sn1 Sn 0.000 0.500 0.500
Ir1 Ir 0.500 0.000 0.000
```

The 6 most intense peaks (5 to 70 degrees two-theta), by angle:
2theta	d [Å]	intensity	h k l
23.56	3.776	100	1 0 1
38.52	2.337	48	1 1 2
39.82	2.264	23	2 0 0
44.49	2.036	19	0 1 3
46.79	1.942	33	2 1 -1
61.22	1.514	15	2 1 3


5.
Starting from a structure optimized by DFT (GGA-PBE), the powder diffractogram of Mg2SnIr2 was computed for copper Kα.
Lines closer than 0.1° are merged.

Atomic structure:
```
data_Mg2SnIr2
_chemical_formula_sum 'Mg4 Sn2 Ir4'
_space_group_name_H-M_alt 'I m m m'
_space_group_IT_number 71
_space_group_name_Hall '-I 2 2'
_cell_length_a 4.224
_cell_length_b 5.736
_cell_length_c 7.652
_cell_angle_alpha 90.00
_cell_angle_beta 90.00
_cell_angle_gamma 90.00
loop_
_atom_site_label
_atom_site_type_symbol
_atom_site_fract_x
_atom_site_fract_y
_atom_site_fract_z
Mg1 Mg 0.000 0.000 0.196
Sn1 Sn 0.000 0.500 0.000
Ir1 Ir 0.000 0.278 0.500
```

The 6 most intense peaks (5 to 70 degrees two-theta), by angle:
2theta	d [Å]	intensity	h k l
23.25	3.826	85	0 0 2
24.06	3.698	43	1 0 1
35.31	2.542	29	1 1 2
39.77	2.266	100	1 2 1
42.81	2.112	25	2 0 0
52.68	1.737	35	1 2 3


6.
Starting from a structure optimized by DFT (GGA-PBE), the powder diffractogram of Mg4Sn2Ir was computed for copper Kα.
Lines closer than 0.1° are merged.

Atomic structure:
```
data_Mg4Sn2Ir
_chemical_formula_sum 'Mg8 Sn4 Ir2'
_space_group_name_H-M_alt 'I 4/m m m'
_space_group_IT_number 139
_space_group_name_Hall '-I 4 2'
_cell_length_a 4.946
_cell_length_b 4.946
_cell_length_c 14.788
_cell_angle_alpha 90.00
_cell_angle_beta 90.00
_cell_angle_gamma 90.00
loop_
_atom_site_label
_atom_site_type_symbol
_atom_site_fract_x
_atom_site_fract_y
_atom_site_fract_z
Mg1 Mg 0.000 0.000 0.174
Mg2 Mg 0.000 0.500 0.000
Sn1 Sn 0.000 0.000 0.371
Ir1 Ir 0.000 0.000 0.000
```

The 6 most intense peaks (5 to 70 degrees two-theta), by angle:
2theta	d [Å]	intensity	h k l
11.97	7.394	28	0 0 2
25.49	3.494	100	1 1 0
35.36	2.539	33	1 0 5
36.33	2.473	29	2 0 0
44.93	2.017	30	2 1 3
51.60	1.771	21	2 1 5


7.
Starting from a structure optimized by DFT (GGA-PBE), the powder diffractogram of Sr4MgIr was computed for copper Kα.
Lines closer than 0.1° are merged.

Atomic structure:
```
data_Sr4MgIr
_chemical_formula_sum 'Sr16 Mg4 Ir4'
_space_group_name_H-M_alt 'F -4 3 m'
_space_group_IT_number 216
_space_group_name_Hall 'F -4 2 3'
_cell_length_a 9.432
_cell_length_b 9.432
_cell_length_c 9.432
_cell_angle_alpha 90.00
_cell_angle_beta 90.00
_cell_angle_gamma 90.00
loop_
_atom_site_label
_atom_site_type_symbol
_atom_site_fract_x
_atom_site_fract_y
_atom_site_fract_z
Sr1 Sr 0.124 0.124 0.124
Mg1 Mg 0.000 0.000 0.500
Ir1 Ir 0.250 0.250 0.750
```

The 6 most intense peaks (5 to 70 degrees two-theta), by angle:
2theta	d [Å]	intensity	h k l
16.28	5.446	20	1 1 1
26.73	3.335	29	2 2 0
31.46	2.844	100	3 1 1
32.89	2.723	37	2 2 2
50.26	1.815	35	3 3 3
55.08	1.667	27	4 4 0


8.
Starting from a structure optimized by DFT (GGA-PBE), the powder diffractogram of SrMg8Ir4 was computed for copper Kα.
Lines closer than 0.1° are merged.

Atomic structure:
```
data_SrMg8Ir4
_chemical_formula_sum 'Sr2 Mg16 Ir8'
_space_group_name_H-M_alt 'I 4/m m m'
_space_group_IT_number 139
_space_group_name_Hall '-I 4 2'
_cell_length_a 9.284
_cell_length_b 9.284
_cell_length_c 5.751
_cell_angle_alpha 90.00
_cell_angle_beta 90.00
_cell_angle_gamma 90.00
loop_
_atom_site_label
_atom_site_type_symbol
_atom_site_fract_x
_atom_site_fract_y
_atom_site_fract_z
Sr1 Sr 0.000 0.000 0.000
Mg1 Mg 0.000 0.228 0.500
Mg2 Mg 0.000 0.331 0.000
Ir1 Ir 0.250 0.250 0.250
```

The 6 most intense peaks (5 to 70 degrees two-theta), by angle:
2theta	d [Å]	intensity	h k l
19.12	4.642	100	2 0 0
27.17	3.282	50	2 2 0
36.77	2.444	73	2 0 2
38.80	2.321	39	4 0 0
41.76	2.163	46	2 2 2
54.52	1.683	39	4 2 2


9.
Starting from a structure optimized by DFT (GGA-PBE), the powder diffractogram of Sr4Mg3Ir2 was computed for copper Kα.
Lines closer than 0.1° are merged.

Atomic structure:
```
data_Sr4Mg3Ir2
_chemical_formula_sum 'Sr8 Mg6 Ir4'
_space_group_name_H-M_alt 'C 1 2/m 1'
_space_group_IT_number 12
_space_group_name_Hall '-C 2y'
_cell_length_a 16.913
_cell_length_b 4.328
_cell_length_c 7.933
_cell_angle_alpha 90.00
_cell_angle_beta 109.70
_cell_angle_gamma 90.00
loop_
_atom_site_label
_atom_site_type_symbol
_atom_site_fract_x
_atom_site_fract_y
_atom_site_fract_z
Sr1 Sr 0.075 0.000 0.347
Sr2 Sr 0.228 0.500 0.173
Mg1 Mg 0.000 0.500 0.000
Mg2 Mg 0.094 0.500 0.744
Ir1 Ir 0.098 0.000 0.949
```

The 6 most intense peaks (5 to 70 degrees two-theta), by angle:
2theta	d [Å]	intensity	h k l
11.85	7.468	100	0 0 1
21.27	4.177	56	1 1 0
26.66	3.343	44	4 0 -2
33.58	2.669	43	1 1 2
33.75	2.656	45	6 0 0
34.98	2.565	41	5 1 0


10.
Starting from a structure optimized by DFT (GGA-PBE), the powder diffractogram of Sr2Mg6ZnIr was computed for copper Kα.
Lines closer than 0.1° are merged.

Atomic structure:
```
data_Sr2Mg6ZnIr
_chemical_formula_sum 'Sr4 Mg12 Zn2 Ir2'
_space_group_name_H-M_alt 'C 1 2/m 1'
_space_group_IT_number 12
_space_group_name_Hall '-C 2y'
_cell_length_a 10.290
_cell_length_b 10.328
_cell_length_c 7.279
_cell_angle_alpha 90.00
_cell_angle_beta 134.89
_cell_angle_gamma 90.00
loop_
_atom_site_label
_atom_site_type_symbol
_atom_site_fract_x
_atom_site_fract_y
_atom_site_fract_z
Sr1 Sr 0.000 0.250 0.000
Mg1 Mg 0.000 0.245 0.500
Mg2 Mg 0.245 0.000 0.991
Mg3 Mg 0.246 0.000 0.500
Zn1 Zn 0.000 0.500 0.500
Ir1 Ir 0.000 0.000 0.500
```

The 6 most intense peaks (5 to 70 degrees two-theta), by angle:
2theta	d [Å]	intensity	h k l
14.88	5.953	20	1 1 0
24.42	3.645	100	2 0 0
34.77	2.580	32	0 4 0
34.88	2.573	16	4 0 -2
42.96	2.105	37	2 4 0
50.02	1.823	28	4 0 0


11.
Starting from a structure optimized by DFT (GGA-PBE), the powder diffractogram of Tb3Mg2Ir3 was computed for copper Kα.
Lines closer than 0.1° are merged.

Atomic structure:
```
data_Tb3Mg2Ir3
_chemical_formula_sum 'Tb6 Mg4 Ir6'
_space_group_name_H-M_alt 'P 63/m c m'
_space_group_IT_number 193
_space_group_name_Hall '-P 6c 2'
_cell_length_a 8.2470
_cell_length_b 8.2470
_cell_length_c 5.7690
_cell_angle_alpha 90.00
_cell_angle_beta 90.00
_cell_angle_gamma 120.00
loop_
_atom_site_label
_atom_site_type_symbol
_atom_site_fract_x
_atom_site_fract_y
_atom_site_fract_z
Tb1 Tb 0.0000 0.2729 0.2500
Mg1 Mg 0.3333 0.6667 0.0000
Ir1 Ir 0.0000 0.3880 0.7500
```

The 6 most intense peaks (5 to 70 degrees two-theta), by angle:
2theta	d [Å]	intensity	h k l
21.55	4.123	67	1 1 0
31.00	2.884	55	0 0 2
36.76	2.445	100	2 1 1
37.79	2.381	53	3 0 0
38.07	2.364	50	1 1 2
49.65	1.836	36	3 0 2


12.
Starting from a structure optimized by DFT (GGA-PBE), the powder diffractogram of MgTcIr was computed for copper Kα.
Lines closer than 0.1° are merged.

Atomic structure:
```
data_MgTcIr
_chemical_formula_sum 'Mg2 Tc2 Ir2'
_space_group_name_H-M_alt 'P 1 2 1'
_space_group_IT_number 3
_space_group_name_Hall 'P 2y'
_cell_length_a 2.802
_cell_length_b 7.039
_cell_length_c 4.832
_cell_angle_alpha 90.00
_cell_angle_beta 91.02
_cell_angle_gamma 90.00
loop_
_atom_site_label
_atom_site_type_symbol
_atom_site_fract_x
_atom_site_fract_y
_atom_site_fract_z
Mg1 Mg 0.000 0.000 0.000
Mg2 Mg 0.000 0.257 0.500
Tc1 Tc 0.039 0.627 0.736
Ir1 Ir 0.500 0.345 0.000
Ir2 Ir 0.500 0.922 0.500
```

The 6 most intense peaks (5 to 70 degrees two-theta), by angle:
2theta	d [Å]	intensity	h k l
22.32	3.983	100	0 1 1
38.36	2.346	28	0 3 0
39.04	2.307	38	1 1 -1
39.60	2.276	35	1 1 1
41.19	2.192	53	1 2 0
45.55	1.992	41	0 2 2